Structure and simulated X-ray powder pattern of AcSnPd2 (a structure optimized by DFT (PBE); copper Kα).

Atomic structure:
Cell lengths 7.198, 7.198, 7.198 Å; angles 90.00, 90.00, 90.00 degrees
Positions (direct):
Ac: 0.000 0.000 0.000
Ac: 0.000 0.500 0.500
Ac: 0.500 0.000 0.500
Ac: 0.500 0.500 0.000
Sn: 0.000 0.000 0.500
Sn: 0.000 0.500 0.000
Sn: 0.500 0.000 0.000
Sn: 0.500 0.500 0.500
Pd: 0.250 0.250 0.250
Pd: 0.250 0.250 0.750
Pd: 0.250 0.750 0.250
Pd: 0.250 0.750 0.750
Pd: 0.750 0.250 0.250
Pd: 0.750 0.250 0.750
Pd: 0.750 0.750 0.250
Pd: 0.750 0.750 0.750

Top 10 peaks for 2θ = 15–90°, in order of rising 2θ:
d/Å  Position (°2θ)  intensity
4.156  21.4  7
3.599  24.7  6
2.545  35.3  100
2.170  41.6  4
2.078  43.6  2
1.799  50.7  18
1.609  57.2  3
1.469  63.3  37
1.272  74.6  12
1.138  85.3  17

---

Structure and simulated X-ray powder pattern of Y2NiIr (a structure optimized by DFT (PBE); copper Kα).

Atomic structure:
Cell lengths 6.842, 6.842, 6.842 Å; angles 90.00, 90.00, 90.00 degrees
Positions (direct):
Y: 0.250 0.250 0.250
Y: 0.250 0.250 0.750
Y: 0.250 0.750 0.250
Y: 0.250 0.750 0.750
Y: 0.750 0.250 0.250
Y: 0.750 0.250 0.750
Y: 0.750 0.750 0.250
Y: 0.750 0.750 0.750
Ni: 0.000 0.000 0.000
Ni: 0.000 0.500 0.500
Ni: 0.500 0.000 0.500
Ni: 0.500 0.500 0.000
Ir: 0.000 0.000 0.500
Ir: 0.000 0.500 0.000
Ir: 0.500 0.000 0.000
Ir: 0.500 0.500 0.500

Top 10 peaks for 2θ = 15–90°, in order of rising 2θ:
d/Å  Position (°2θ)  intensity
3.950  22.5  19
3.421  26.0  3
2.419  37.2  100
2.063  43.9  10
1.710  53.6  17
1.570  58.8  5
1.397  67.0  35
1.317  71.7  4
1.209  79.2  11
1.156  83.6  4

---

Structure and simulated X-ray powder pattern of SiO2 (a structure optimized by DFT (PBE); copper Kα).

Atomic structure:
Cell lengths 8.816, 8.816, 8.816 Å; angles 109.47, 109.47, 109.47 degrees
Positions (direct):
Si: 0.078 0.615 0.230
Si: 0.230 0.078 0.615
Si: 0.270 0.885 0.847
Si: 0.422 0.653 0.538
Si: 0.538 0.422 0.653
Si: 0.615 0.230 0.078
Si: 0.615 0.885 0.962
Si: 0.653 0.538 0.422
Si: 0.847 0.270 0.885
Si: 0.885 0.847 0.270
Si: 0.885 0.962 0.615
Si: 0.962 0.615 0.885
O: 0.011 0.394 0.106
O: 0.075 0.750 0.825
O: 0.106 0.011 0.394
O: 0.106 0.117 0.712
O: 0.117 0.712 0.106
O: 0.250 0.675 0.425
O: 0.250 0.918 0.668
O: 0.383 0.489 0.595
O: 0.394 0.106 0.011
O: 0.394 0.788 0.905
O: 0.425 0.250 0.675
O: 0.489 0.595 0.383
O: 0.582 0.832 0.750
O: 0.595 0.383 0.489
O: 0.668 0.250 0.918
O: 0.675 0.425 0.250
O: 0.712 0.106 0.117
O: 0.750 0.582 0.832
O: 0.750 0.825 0.075
O: 0.788 0.905 0.394
O: 0.825 0.075 0.750
O: 0.832 0.750 0.582
O: 0.905 0.394 0.788
O: 0.918 0.668 0.250

Top 10 peaks for 2θ = 15–90°, in order of rising 2θ:
d/Å  Position (°2θ)  intensity
5.090  17.4  100
4.156  21.4  41
3.219  27.7  23
2.721  32.9  62
2.276  39.6  20
2.170  41.6  12
1.651  55.7  13
1.501  61.8  10
1.412  66.2  10
1.293  73.2  13